For TbCdGa2Pd5, a PBE-relaxed structure gives the simulated powder diffractogram in this record (Cu Ka).
Kinematic intensities with the Lorentz-polarization factor, no thermal factor.

Crystal structure
```
TbCdGa2Pd5
1.0
4.159 0.000 0.000
0.000 4.159 0.000
0.000 0.000 9.323
Tb Cd Ga Pd
1 1 2 5
Cartesian
0.000 0.000 0.000
0.000 0.000 4.662
2.080 2.080 3.438
2.080 2.080 5.885
0.000 2.080 2.080
0.000 2.080 7.243
2.080 0.000 2.080
2.080 0.000 7.243
2.080 2.080 0.000
```

Most intense lines, 2θ = 10–90°, by intensity:
hkl 1 1 2, 2θ 36.11, I 100
hkl 2 0 0, 2θ 43.52, I 43
hkl 1 1 3, 2θ 42.31, I 23
hkl 3 1 2, 2θ 75.03, I 22
hkl 2 2 0, 2θ 63.23, I 14
hkl 2 0 4, 2θ 59.57, I 12
hkl 0 0 4, 2θ 38.63, I 11
hkl 1 1 6, 2θ 68.26, I 10
hkl 1 0 4, 2θ 44.57, I 10
hkl 1 0 2, 2θ 28.76, I 9